# Np4UGa15
Computed X-ray diffraction stick pattern, copper Kα. Input: a structure optimized by DFT (GGA-PBE).
Neutral-atom scattering factors, no anomalous dispersion.

Principal peaks in the range 10° ≤ 2θ ≤ 80°, low angle first:
two_theta  d (Å)  I_rel  index
17.5  5.060  65  1 1 0
19.2  4.630  27  0 2 0
35.5  2.530  100  2 2 0
37.0  2.432  22  1 1 5
37.8  2.379  84  0 2 5
38.9  2.315  39  0 4 0
44.3  2.043  54  2 0 5
60.4  1.532  43  2 4 5
74.4  1.275  23  4 2 5
78.7  1.216  20  2 2 10

Crystal structure
Lattice parameters (Å, degrees): 6.0412 9.2595 13.8640 90.00 90.00 90.00
Space group Cmmm (No. 65)
Unique sites:
Np 0.0000 0.0000 0.1002
Np 0.0000 0.0000 0.3021
U 0.0000 0.0000 0.5000
Ga 0.0000 0.5000 0.0996
Ga 0.0000 0.5000 0.2996
Ga 0.0000 0.5000 0.5000
Ga 0.2500 0.2500 0.0000
Ga 0.2500 0.2500 0.2006
Ga 0.2500 0.2500 0.3999

=====

# ScReO4
Computed X-ray diffraction stick pattern, copper Kα. Input: a structure optimized by DFT (GGA-PBE).
Neutral-atom scattering factors, no anomalous dispersion.

Principal peaks in the range 10° ≤ 2θ ≤ 80°, low angle first:
two_theta  d (Å)  I_rel  index
19.4  4.574  78  1 0 1
26.5  3.363  100  2 0 0
33.1  2.710  38  2 1 1
34.4  2.608  79  1 1 2
37.8  2.378  22  2 2 0
52.0  1.757  65  3 1 2
54.6  1.682  17  4 0 0
61.7  1.504  15  4 2 0
66.1  1.414  34  3 3 2
78.8  1.215  13  5 1 2

Crystal structure
Lattice parameters (Å, degrees): 6.7265 6.7265 6.2385 90.00 90.00 90.00
Space group I4_1md (No. 109)
Unique sites:
Sc 0.0000 0.0000 0.0000
Re 0.0000 0.0000 0.5106
O 0.0000 0.2933 0.5367
O 0.0000 0.3063 0.9970

=====

# PrEr4Tm5
Computed X-ray diffraction stick pattern, copper Kα. Input: a structure optimized by DFT (GGA-PBE).
Neutral-atom scattering factors, no anomalous dispersion.

Principal peaks in the range 10° ≤ 2θ ≤ 80°, low angle first:
two_theta  d (Å)  I_rel  index
27.9  3.194  71  3 1 0
28.5  3.133  35  0 0 2
30.1  2.966  100  3 0 1
31.2  2.869  41  1 1 2
33.7  2.663  25  2 0 2
35.1  2.557  69  3 2 1
39.5  2.282  27  1 4 1
40.3  2.237  40  1 3 2
54.8  1.675  25  3 2 3
57.4  1.605  23  6 1 1

Crystal structure
Lattice parameters (Å, degrees): 10.1000 10.1000 6.2670 90.00 90.00 90.00
Space group I4 (No. 79)
Unique sites:
Pr 0.0000 0.0000 0.0000
Er 0.0520 0.6499 0.2296
Tm 0.0000 0.0000 0.4566
Tm 0.1425 0.7650 0.7251

=====

# Cs12MgAu7
Computed X-ray diffraction stick pattern, copper Kα. Input: a structure optimized by DFT (GGA-PBE).
Neutral-atom scattering factors, no anomalous dispersion.

Principal peaks in the range 10° ≤ 2θ ≤ 80°, low angle first:
two_theta  d (Å)  I_rel  index
21.0  4.227  38  4 -3 1
23.0  3.864  29  4 0 1
24.2  3.678  24  0 0 3
24.9  3.580  34  5 -2 1
25.3  3.522  100  4 -1 2
29.2  3.057  34  0 3 3
30.7  2.911  42  2 2 3
33.9  2.642  88  5 2 0
34.9  2.573  73  1 4 3
50.4  1.810  26  9 -3 3

Crystal structure
Lattice parameters (Å, degrees): 19.0524 19.0524 11.0337 90.00 90.00 120.00
Space group R-3 (No. 148, hexagonal axes)
Unique sites:
Cs 0.0052 0.5740 0.3365
Cs 0.0438 0.8831 0.2769
Mg 0.0000 0.0000 0.0000
Au 0.0000 0.0000 0.5000
Au 0.0423 0.8825 0.9373

=====

# U4Co
Computed X-ray diffraction stick pattern, copper Kα. Input: a structure optimized by DFT (GGA-PBE).
Neutral-atom scattering factors, no anomalous dispersion.

Principal peaks in the range 10° ≤ 2θ ≤ 80°, low angle first:
two_theta  d (Å)  I_rel  index
16.0  5.552  17  1 1 1
26.2  3.400  7  2 2 0
32.2  2.776  100  2 2 2
37.4  2.404  39  4 0 0
40.9  2.206  25  3 3 1
49.2  1.851  38  3 3 3
53.9  1.700  28  4 4 0
64.3  1.450  21  6 2 2
69.9  1.346  19  5 5 1
76.0  1.252  14  7 3 1

Crystal structure
Lattice parameters (Å, degrees): 9.6157 9.6157 9.6157 90.00 90.00 90.00
Space group Fd-3m (No. 227, origin choice 2)
Unique sites:
U 0.0226 0.0226 0.2274
Co 0.1250 0.1250 0.6250

=====

# SrPr6Te8
Computed X-ray diffraction stick pattern, copper Kα. Input: a structure optimized by DFT (GGA-PBE).
Neutral-atom scattering factors, no anomalous dispersion.

Principal peaks in the range 10° ≤ 2θ ≤ 80°, low angle first:
two_theta  d (Å)  I_rel  index
13.8  6.410  5  2 0 0
19.6  4.532  5  2 2 0
27.8  3.205  100  4 0 0
31.2  2.867  3  4 2 0
34.3  2.617  2  4 2 2
39.8  2.266  76  4 4 0
49.2  1.850  27  4 4 4
57.5  1.602  13  8 0 0
65.1  1.433  35  8 4 0
72.2  1.308  25  8 4 4

Crystal structure
Lattice parameters (Å, degrees): 12.8197 12.8197 12.8197 90.00 90.00 90.00
Space group Fm-3m (No. 225)
Unique sites:
Sr 0.0000 0.0000 0.0000
Pr 0.0000 0.2500 0.2500
Te 0.0000 0.0000 0.2581
Te 0.2500 0.2500 0.2500